Structure and simulated X-ray diffraction stick pattern of MgSnP2O7 (a structure optimized by DFT (PBE); copper Kα).

Peak list (10 most intense, 5° ≤ 2θ ≤ 70°, by intensity)
h k l, 2θ/deg, d (Å), I/Imax
2 0 1, 27.0, 3.305, 1000
0 0 2, 28.6, 3.123, 811
0 1 -1, 21.1, 4.206, 702
0 2 1, 27.3, 3.272, 685
0 2 0, 26.2, 3.403, 611
2 1 1, 27.8, 3.211, 598
1 0 1, 15.5, 5.703, 421
1 0 0, 14.8, 5.997, 345
0 1 2, 29.0, 3.078, 306
1 2 2, 31.9, 2.802, 306

Cell and atoms:
```
data_MgSnP2O7
_symmetry_space_group_name_H-M 'P -1'
_symmetry_Int_Tables_number 2
_cell_length_a 6.726
_cell_length_b 7.048
_cell_length_c 7.128
_cell_angle_alpha 75.46
_cell_angle_beta 63.35
_cell_angle_gamma 80.09
loop_
_symmetry_equiv_pos_as_xyz
'x,y,z'
'-x,-y,-z'
loop_
_atom_site_label
_atom_site_fract_x
_atom_site_fract_y
_atom_site_fract_z
Mg1 0.184 0.171 0.399
Sn1 0.375 0.304 0.774
P1 0.149 0.636 0.198
P2 0.287 0.818 0.723
O1 0.090 0.335 0.633
O2 0.116 0.923 0.634
O3 0.128 0.727 0.968
O4 0.234 0.423 0.185
O5 0.299 0.766 0.212
O6 0.419 0.646 0.608
O7 0.456 0.943 0.720
```